CsSnIBr6: calculated X-ray powder pattern (Cu Ka), based on the GGA-PBE geometry in Alexandria.
Peak positions follow from Bragg's law for the DFT cell and can differ from measured ones.

Principal peaks in the range 2θ from 10° to 80°, sorted by position:
2θ (°), I (rel.), h k l
12.16, 559, 0 1 0
13.04, 574, 0 1 1
15.32, 1000, 1 0 1
15.89, 370, 1 1 1
20.48, 338, -1 1 1
25.41, 901, 2 0 1
26.24, 442, 0 2 2
26.97, 840, -1 2 1
32.10, 589, 2 2 2
46.77, 387, 1 4 3

Structural model:
abc: 7.2275 8.1954 8.2186
angles: 62.70 72.62 83.22
Fractional positions:
Cs 0.0000 0.0000 0.0000
Sn 0.5000 0.5000 0.4994
I 0.9999 0.5002 0.9992
Br 0.2220 0.3291 0.4969
Br 0.2349 0.7151 0.6475
Br 0.4972 0.7618 0.1626
Br 0.5030 0.2383 0.8361
Br 0.7651 0.2852 0.3510
Br 0.7781 0.6708 0.5020